Simulated X-ray diffraction stick pattern
Compound: CaZn6Cu6
Radiation: CuKα
Structure: a DFT-relaxed cell (PBE, Alexandria)
Peak positions follow from Bragg's law for the DFT cell and can differ from measured ones.

Most intense lines, 15° ≤ 2θ ≤ 90°, sorted by position:
- 2θ 20.49, I = 15
- 2θ 35.43, I = 21
- 2θ 40.86, I = 26
- 2θ 41.27, I = 45
- 2θ 41.52, I = 32
- 2θ 41.68, I = 62
- 2θ 41.89, I = 29
- 2θ 46.15, I = 41
- 2θ 46.68, I = 18
- 2θ 46.88, I = 100

Structural model:
```
data_CaZn6Cu6
_space_group_name_H-M_alt 'P 1'
_space_group_IT_number 1
_space_group_name_Hall 'P 1'
_cell_length_a 6.669
_cell_length_b 6.669
_cell_length_c 6.669
_cell_angle_alpha 136.23
_cell_angle_beta 98.92
_cell_angle_gamma 97.06
loop_
_atom_site_label
_atom_site_type_symbol
_atom_site_fract_x
_atom_site_fract_y
_atom_site_fract_z
Ca1 Ca 0.000 0.000 0.000
Zn1 Zn 0.206 0.706 0.500
Zn2 Zn 0.347 0.000 0.347
Zn3 Zn 0.351 0.351 0.000
Zn4 Zn 0.649 0.649 0.000
Zn5 Zn 0.653 0.000 0.653
Zn6 Zn 0.794 0.294 0.500
Cu1 Cu 0.000 0.000 0.500
Cu2 Cu 0.000 0.500 0.000
Cu3 Cu 0.229 0.500 0.729
Cu4 Cu 0.500 0.000 0.000
Cu5 Cu 0.500 0.500 0.500
Cu6 Cu 0.771 0.500 0.271
```

Simulated X-ray diffraction stick pattern
Compound: Ca2Zn12Cu5
Radiation: CuKα
Structure: a DFT-relaxed cell (PBE, Alexandria)
Peak positions follow from Bragg's law for the DFT cell and can differ from measured ones.

Most intense lines, 15° ≤ 2θ ≤ 90°, sorted by position:
- 2θ 19.84, I = 26
- 2θ 34.72, I = 24
- 2θ 36.23, I = 29
- 2θ 40.31, I = 60
- 2θ 40.74, I = 85
- 2θ 42.04, I = 60
- 2θ 45.71, I = 100
- 2θ 46.88, I = 34
- 2θ 73.28, I = 18
- 2θ 75.90, I = 17

Structural model:
```
data_Ca2Zn12Cu5
_space_group_name_H-M_alt 'P 1'
_space_group_IT_number 1
_space_group_name_Hall 'P 1'
_cell_length_a 6.723
_cell_length_b 6.723
_cell_length_c 6.723
_cell_angle_alpha 83.46
_cell_angle_beta 83.46
_cell_angle_gamma 83.46
loop_
_atom_site_label
_atom_site_type_symbol
_atom_site_fract_x
_atom_site_fract_y
_atom_site_fract_z
Ca1 Ca 0.160 0.160 0.160
Ca2 Ca 0.840 0.840 0.840
Zn1 Zn 0.155 0.155 0.642
Zn2 Zn 0.155 0.642 0.155
Zn3 Zn 0.210 0.500 0.790
Zn4 Zn 0.210 0.790 0.500
Zn5 Zn 0.358 0.845 0.845
Zn6 Zn 0.500 0.210 0.790
Zn7 Zn 0.500 0.790 0.210
Zn8 Zn 0.642 0.155 0.155
Zn9 Zn 0.790 0.210 0.500
Zn10 Zn 0.790 0.500 0.210
Zn11 Zn 0.845 0.358 0.845
Zn12 Zn 0.845 0.845 0.358
Cu1 Cu 0.000 0.500 0.500
Cu2 Cu 0.399 0.399 0.399
Cu3 Cu 0.500 0.000 0.500
Cu4 Cu 0.500 0.500 0.000
Cu5 Cu 0.601 0.601 0.601
```